Computed PXRD pattern
Compound: Pb2Au5O6
Radiation: Cu Kα, 1.54184 Å
Structure: a crystal structure in OQMD, relaxed with PBE
Lines closer than 0.1° are merged.

Atomic structure:
```
data_Pb2Au5O6
_space_group_name_H-M_alt 'P -3 1 m'
_space_group_IT_number 162
_space_group_name_Hall '-P 3 2'
_cell_length_a 6.0371
_cell_length_b 6.0371
_cell_length_c 6.4498
_cell_angle_alpha 90.00
_cell_angle_beta 90.00
_cell_angle_gamma 120.00
loop_
_atom_site_label
_atom_site_fract_x
_atom_site_fract_y
_atom_site_fract_z
Pb1 0.3333 0.6667 0.0000
Au1 0.0000 0.0000 0.2794
Au2 0.0000 0.5000 0.5000
O1 0.0000 0.3781 0.8040
```

Main lines, in order of rising 2θ (10° ≤ 2θ ≤ 90°):
- 2θ 29.6, 3.019 Å, intensity 35, (1 1 0)
- 2θ 32.6, 2.745 Å, intensity 100, (1 0 2)
- 2θ 32.8, 2.734 Å, intensity 47, (1 1 1)
- 2θ 34.3, 2.614 Å, intensity 51, (2 0 0)
- 2θ 37.1, 2.423 Å, intensity 91, (2 0 1)
- 2θ 52.2, 1.751 Å, intensity 34, (2 -1 3)
- 2θ 54.5, 1.684 Å, intensity 62, (2 1 2)
- 2θ 61.4, 1.509 Å, intensity 27, (2 2 0)
- 2θ 71.3, 1.323 Å, intensity 21, (4 -1 2)
- 2θ 86.6, 1.124 Å, intensity 22, (5 -2 2)


Computed PXRD pattern
Compound: Lu2Zr4Au3C3
Radiation: Cu Kα, 1.54184 Å
Structure: a crystal structure in OQMD, relaxed with PBE
Lines closer than 0.1° are merged.

Atomic structure:
```
data_Lu2Zr4Au3C3
_space_group_name_H-M_alt 'C 1 2/c 1'
_space_group_IT_number 15
_cell_length_a 10.173
_cell_length_b 5.873
_cell_length_c 14.749
_cell_angle_alpha 90.00
_cell_angle_beta 103.61
_cell_angle_gamma 90.00
loop_
_space_group_symop_operation_xyz
'x,y,z'
'-x,-y,-z'
'-x,y,-z+1/2'
'x,-y,z+1/2'
'x+1/2,y+1/2,z'
'-x+1/2,-y+1/2,-z'
'-x+1/2,y+1/2,-z+1/2'
'x+1/2,-y+1/2,z+1/2'
loop_
_atom_site_label
_atom_site_fract_x
_atom_site_fract_y
_atom_site_fract_z
Lu1 0.044 0.081 0.392
Zr1 0.112 0.409 0.584
Zr2 0.226 0.419 0.916
Au1 0.000 0.497 0.250
Au2 0.205 0.120 0.749
C1 0.086 0.257 0.000
C2 0.250 0.250 0.500
```

Main lines, in order of rising 2θ (10° ≤ 2θ ≤ 90°):
- 2θ 12.3, 7.168 Å, intensity 24, (0 0 2)
- 2θ 30.4, 2.937 Å, intensity 33, (0 2 0)
- 2θ 35.4, 2.539 Å, intensity 10, (2 2 -1)
- 2θ 35.5, 2.526 Å, intensity 10, (4 0 -2)
- 2θ 35.9, 2.505 Å, intensity 100, (3 1 -4)
- 2θ 36.0, 2.497 Å, intensity 49, (3 1 2)
- 2θ 36.3, 2.473 Å, intensity 9, (4 0 0)
- 2θ 37.6, 2.389 Å, intensity 29, (0 0 6)
- 2θ 54.1, 1.695 Å, intensity 25, (6 0 -2)
- 2θ 66.7, 1.403 Å, intensity 12, (3 1 -10)


Computed PXRD pattern
Compound: Nb3CoS6
Radiation: Cu Kα, 1.54184 Å
Structure: a crystal structure in OQMD, relaxed with PBE
Lines closer than 0.1° are merged.

Atomic structure:
```
data_Nb3CoS6
_space_group_name_H-M_alt 'P 63 2 2'
_space_group_IT_number 182
_space_group_name_Hall 'P 6c 2c'
_cell_length_a 5.7806
_cell_length_b 5.7806
_cell_length_c 11.7093
_cell_angle_alpha 90.00
_cell_angle_beta 90.00
_cell_angle_gamma 120.00
loop_
_atom_site_label
_atom_site_fract_x
_atom_site_fract_y
_atom_site_fract_z
Nb1 0.0000 0.0000 0.0000
Nb2 0.3333 0.6667 0.0031
Co1 0.3333 0.6667 0.7500
S1 0.0026 0.3345 0.8655
```

Main lines, in order of rising 2θ (10° ≤ 2θ ≤ 90°):
- 2θ 15.1, 5.855 Å, intensity 53, (0 0 2)
- 2θ 19.3, 4.603 Å, intensity 13, (1 0 1)
- 2θ 30.9, 2.890 Å, intensity 43, (1 1 0)
- 2θ 31.9, 2.806 Å, intensity 17, (1 1 1)
- 2θ 34.6, 2.592 Å, intensity 57, (1 1 2)
- 2θ 38.8, 2.323 Å, intensity 14, (1 1 3)
- 2θ 44.0, 2.057 Å, intensity 100, (1 1 4)
- 2θ 55.0, 1.669 Å, intensity 37, (3 0 0)
- 2θ 73.0, 1.296 Å, intensity 21, (2 2 4)
- 2θ 89.0, 1.100 Å, intensity 18, (3 0 8)


Computed PXRD pattern
Compound: InCoHgPt
Radiation: Cu Kα, 1.54184 Å
Structure: a crystal structure in OQMD, relaxed with PBE
Lines closer than 0.1° are merged.

Atomic structure:
```
data_InCoHgPt
_space_group_name_H-M_alt 'F -4 3 m'
_space_group_IT_number 216
_space_group_name_Hall 'F -4 2 3'
_cell_length_a 6.488
_cell_length_b 6.488
_cell_length_c 6.488
_cell_angle_alpha 90.00
_cell_angle_beta 90.00
_cell_angle_gamma 90.00
loop_
_atom_site_label
_atom_site_fract_x
_atom_site_fract_y
_atom_site_fract_z
In1 0.000 0.000 0.000
Co1 0.250 0.250 0.250
Hg1 0.000 0.000 0.500
Pt1 0.250 0.250 0.750
```

Main lines, in order of rising 2θ (10° ≤ 2θ ≤ 90°):
- 2θ 23.8, 3.746 Å, intensity 17, (1 1 1)
- 2θ 27.5, 3.244 Å, intensity 2, (2 0 0)
- 2θ 39.3, 2.294 Å, intensity 100, (2 2 0)
- 2θ 46.4, 1.956 Å, intensity 9, (3 1 1)
- 2θ 56.8, 1.622 Å, intensity 17, (4 0 0)
- 2θ 62.4, 1.489 Å, intensity 4, (3 3 1)
- 2θ 71.2, 1.324 Å, intensity 35, (4 2 2)
- 2θ 76.3, 1.249 Å, intensity 3, (5 1 1)
- 2θ 84.5, 1.147 Å, intensity 11, (4 4 0)
- 2θ 89.3, 1.097 Å, intensity 4, (5 3 1)


Computed PXRD pattern
Compound: Tl5Au7
Radiation: Cu Kα, 1.54184 Å
Structure: a crystal structure in OQMD, relaxed with PBE
Lines closer than 0.1° are merged.

Atomic structure:
```
data_Tl5Au7
_space_group_name_H-M_alt 'P b c m'
_space_group_IT_number 57
_cell_length_a 8.841
_cell_length_b 17.050
_cell_length_c 7.351
_cell_angle_alpha 90.00
_cell_angle_beta 90.00
_cell_angle_gamma 90.00
loop_
_space_group_symop_operation_xyz
'x,y,z'
'-x,-y,-z'
'-x,-y,z+1/2'
'x,y,-z+1/2'
'x,-y+1/2,-z'
'-x,y+1/2,z'
'-x,y+1/2,-z+1/2'
'x,-y+1/2,z+1/2'
loop_
_atom_site_label
_atom_site_fract_x
_atom_site_fract_y
_atom_site_fract_z
Tl1 0.010 0.115 0.250
Tl2 0.102 0.589 0.750
Tl3 0.180 0.212 0.750
Tl4 0.419 0.728 0.750
Tl5 0.488 0.514 0.750
Au1 0.105 0.750 0.000
Au2 0.178 0.030 0.554
Au3 0.315 0.621 0.054
Au4 0.368 0.151 0.056
```

Main lines, in order of rising 2θ (10° ≤ 2θ ≤ 90°):
- 2θ 31.7, 2.826 Å, intensity 23, (2 0 2)
- 2θ 32.1, 2.787 Å, intensity 23, (2 1 2)
- 2θ 33.1, 2.702 Å, intensity 25, (1 6 0)
- 2θ 33.8, 2.654 Å, intensity 100, (1 4 2)
- 2θ 34.4, 2.604 Å, intensity 25, (3 2 1)
- 2θ 35.4, 2.534 Å, intensity 21, (2 5 1)
- 2θ 35.5, 2.531 Å, intensity 37, (2 3 2)
- 2θ 37.1, 2.424 Å, intensity 48, (3 4 0)
- 2θ 38.3, 2.348 Å, intensity 22, (1 7 0)
- 2θ 39.6, 2.277 Å, intensity 15, (1 2 3)


Computed PXRD pattern
Compound: Na4TlInPd2
Radiation: Cu Kα, 1.54184 Å
Structure: a crystal structure in OQMD, relaxed with PBE
Lines closer than 0.1° are merged.

Atomic structure:
```
data_Na4TlInPd2
_space_group_name_H-M_alt 'P -4 m 2'
_space_group_IT_number 115
_cell_length_a 4.884
_cell_length_b 4.884
_cell_length_c 6.900
_cell_angle_alpha 90.00
_cell_angle_beta 90.00
_cell_angle_gamma 90.00
loop_
_space_group_symop_operation_xyz
'x,y,z'
'y,-x,-z'
'-x,-y,z'
'-y,x,-z'
'-x,y,z'
'-y,-x,-z'
'x,-y,z'
'y,x,-z'
loop_
_atom_site_label
_atom_site_fract_x
_atom_site_fract_y
_atom_site_fract_z
Na1 0.000 0.000 0.000
Na2 0.000 0.500 0.250
Na3 0.500 0.500 0.500
Tl1 0.000 0.000 0.500
In1 0.500 0.500 0.000
Pd1 0.000 0.500 0.761
```

Main lines, in order of rising 2θ (10° ≤ 2θ ≤ 90°):
- 2θ 22.3, 3.986 Å, intensity 60, (1 0 1)
- 2θ 36.8, 2.441 Å, intensity 100, (2 0 0)
- 2θ 43.5, 2.082 Å, intensity 32, (2 1 1)
- 2θ 53.1, 1.726 Å, intensity 17, (2 2 0)
- 2θ 58.2, 1.584 Å, intensity 13, (3 0 1)
- 2θ 66.3, 1.409 Å, intensity 34, (3 1 2)
- 2θ 70.9, 1.329 Å, intensity 10, (3 2 1)
- 2θ 78.3, 1.221 Å, intensity 10, (4 0 0)
- 2θ 82.7, 1.167 Å, intensity 10, (4 1 1)
- 2θ 89.9, 1.092 Å, intensity 15, (4 2 0)


Computed PXRD pattern
Compound: Al5W7
Radiation: Cu Kα, 1.54184 Å
Structure: a crystal structure in OQMD, relaxed with PBE
Lines closer than 0.1° are merged.

Atomic structure:
```
data_Al5W7
_space_group_name_H-M_alt 'P 63/m m c'
_space_group_IT_number 194
_space_group_name_Hall '-P 6c 2c'
_cell_length_a 5.1634
_cell_length_b 5.1634
_cell_length_c 17.1586
_cell_angle_alpha 90.00
_cell_angle_beta 90.00
_cell_angle_gamma 120.00
loop_
_atom_site_label
_atom_site_fract_x
_atom_site_fract_y
_atom_site_fract_z
Al1 0.0000 0.5000 0.0000
Al2 0.3333 0.6667 0.1630
W1 0.0000 0.0000 0.1037
W2 0.1641 0.3282 0.7500
W3 0.3333 0.6667 0.6207
```

Main lines, in order of rising 2θ (10° ≤ 2θ ≤ 90°):
- 2θ 10.3, 8.579 Å, intensity 64, (0 0 2)
- 2θ 20.5, 4.327 Å, intensity 66, (1 0 1)
- 2θ 34.7, 2.582 Å, intensity 28, (1 1 0)
- 2θ 37.3, 2.409 Å, intensity 21, (1 0 6)
- 2θ 40.8, 2.212 Å, intensity 100, (1 1 4)
- 2θ 41.7, 2.164 Å, intensity 21, (2 0 2)
- 2θ 42.1, 2.147 Å, intensity 41, (0 0 8)
- 2θ 43.5, 2.082 Å, intensity 46, (2 0 3)
- 2θ 48.6, 1.873 Å, intensity 25, (2 0 5)
- 2θ 66.4, 1.408 Å, intensity 22, (3 0 4)


Computed PXRD pattern
Compound: CoCu4NiGe2
Radiation: Cu Kα, 1.54184 Å
Structure: a crystal structure in OQMD, relaxed with PBE
Lines closer than 0.1° are merged.

Atomic structure:
```
data_CoCu4NiGe2
_space_group_name_H-M_alt 'P 4/m m m'
_space_group_IT_number 123
_space_group_name_Hall '-P 4 2'
_cell_length_a 4.109
_cell_length_b 4.109
_cell_length_c 5.817
_cell_angle_alpha 90.00
_cell_angle_beta 90.00
_cell_angle_gamma 90.00
loop_
_atom_site_label
_atom_site_fract_x
_atom_site_fract_y
_atom_site_fract_z
Co1 0.000 0.000 0.000
Cu1 0.000 0.500 0.251
Ni1 0.500 0.500 0.500
Ge1 0.000 0.000 0.500
Ge2 0.500 0.500 0.000
```

Main lines, in order of rising 2θ (10° ≤ 2θ ≤ 90°):
- 2θ 44.1, 2.055 Å, intensity 100, (2 0 0)
- 2θ 64.1, 1.453 Å, intensity 15, (2 2 0)
- 2θ 81.0, 1.187 Å, intensity 30, (3 1 2)


Computed PXRD pattern
Compound: YLu2In3Pt2
Radiation: Cu Kα, 1.54184 Å
Structure: a crystal structure in OQMD, relaxed with PBE
Lines closer than 0.1° are merged.

Atomic structure:
```
data_YLu2In3Pt2
_space_group_name_H-M_alt 'A m m 2'
_space_group_IT_number 38
_cell_length_a 3.584
_cell_length_b 13.323
_cell_length_c 7.654
_cell_angle_alpha 90.00
_cell_angle_beta 90.00
_cell_angle_gamma 90.00
loop_
_space_group_symop_operation_xyz
'x,y,z'
'-x,-y,z'
'-x,y,z'
'x,-y,z'
'x,y+1/2,z+1/2'
'-x,-y+1/2,z+1/2'
'-x,y+1/2,z+1/2'
'x,-y+1/2,z+1/2'
loop_
_atom_site_label
_atom_site_fract_x
_atom_site_fract_y
_atom_site_fract_z
Y1 0.000 0.000 0.000
Lu1 0.000 0.211 0.369
In1 0.500 0.000 0.350
In2 0.500 0.116 0.695
Pt1 0.500 0.170 0.082
```

Main lines, in order of rising 2θ (10° ≤ 2θ ≤ 90°):
- 2θ 13.3, 6.656 Å, intensity 34, (0 2 0)
- 2θ 34.2, 2.619 Å, intensity 100, (1 0 2)
- 2θ 35.7, 2.515 Å, intensity 52, (0 5 1)
- 2θ 35.8, 2.506 Å, intensity 21, (0 1 3)
- 2θ 36.9, 2.436 Å, intensity 69, (1 2 2)
- 2θ 40.8, 2.212 Å, intensity 15, (0 3 3)
- 2θ 44.0, 2.059 Å, intensity 13, (1 5 1)
- 2θ 51.0, 1.792 Å, intensity 17, (2 0 0)
- 2θ 63.8, 1.459 Å, intensity 19, (2 5 1)
- 2θ 66.6, 1.404 Å, intensity 13, (1 7 3)


Computed PXRD pattern
Compound: GdH2I3O10
Radiation: Cu Kα, 1.54184 Å
Structure: a crystal structure in OQMD, relaxed with PBE
Lines closer than 0.1° are merged.

Atomic structure:
```
data_GdH2I3O10
_space_group_name_H-M_alt 'P 1 21 1'
_space_group_IT_number 4
_cell_length_a 7.152
_cell_length_b 6.424
_cell_length_c 9.789
_cell_angle_alpha 90.00
_cell_angle_beta 109.98
_cell_angle_gamma 90.00
loop_
_space_group_symop_operation_xyz
'x,y,z'
'-x,y+1/2,-z'
loop_
_atom_site_label
_atom_site_fract_x
_atom_site_fract_y
_atom_site_fract_z
Gd1 0.240 0.000 0.311
H1 0.215 0.663 0.900
H2 0.391 0.776 0.023
I1 0.133 0.149 0.908
I2 0.159 0.508 0.530
I3 0.480 0.469 0.270
O1 0.042 0.420 0.899
O2 0.044 0.640 0.649
O3 0.082 0.711 0.388
O4 0.273 0.161 0.103
O5 0.295 0.792 0.923
O6 0.300 0.359 0.353
O7 0.327 0.053 0.563
O8 0.333 0.707 0.215
O9 0.337 0.206 0.842
O10 0.414 0.589 0.632
```

Main lines, in order of rising 2θ (10° ≤ 2θ ≤ 90°):
- 2θ 23.4, 3.800 Å, intensity 57, (1 1 1)
- 2θ 23.8, 3.740 Å, intensity 51, (0 1 2)
- 2θ 27.0, 3.306 Å, intensity 62, (1 0 2)
- 2θ 27.5, 3.239 Å, intensity 40, (1 0 -3)
- 2θ 27.8, 3.212 Å, intensity 38, (0 2 0)
- 2θ 28.6, 3.124 Å, intensity 100, (2 1 -1)
- 2θ 29.5, 3.032 Å, intensity 39, (0 2 1)
- 2θ 30.4, 2.939 Å, intensity 74, (2 1 -2)
- 2θ 30.9, 2.893 Å, intensity 57, (1 1 -3)
- 2θ 48.7, 1.870 Å, intensity 40, (2 1 3)


Computed PXRD pattern
Compound: ErTm2In3NiAg2
Radiation: Cu Kα, 1.54184 Å
Structure: a crystal structure in OQMD, relaxed with PBE
Lines closer than 0.1° are merged.

Atomic structure:
```
data_ErTm2In3NiAg2
_space_group_name_H-M_alt 'A m m 2'
_space_group_IT_number 38
_cell_length_a 3.798
_cell_length_b 13.411
_cell_length_c 7.734
_cell_angle_alpha 90.00
_cell_angle_beta 90.00
_cell_angle_gamma 90.00
loop_
_space_group_symop_operation_xyz
'x,y,z'
'-x,-y,z'
'-x,y,z'
'x,-y,z'
'x,y+1/2,z+1/2'
'-x,-y+1/2,z+1/2'
'-x,y+1/2,z+1/2'
'x,-y+1/2,z+1/2'
loop_
_atom_site_label
_atom_site_fract_x
_atom_site_fract_y
_atom_site_fract_z
Er1 0.000 0.000 0.000
Tm1 0.000 0.199 0.598
In1 0.500 0.000 0.648
In2 0.500 0.125 0.274
Ni1 0.000 0.000 0.399
Ag1 0.500 0.167 0.899
```

Main lines, in order of rising 2θ (10° ≤ 2θ ≤ 90°):
- 2θ 33.0, 2.711 Å, intensity 100, (1 0 2)
- 2θ 35.4, 2.533 Å, intensity 48, (0 5 1)
- 2θ 35.7, 2.513 Å, intensity 60, (1 2 2)
- 2θ 40.4, 2.234 Å, intensity 32, (0 6 0)
- 2θ 42.9, 2.107 Å, intensity 16, (1 5 1)
- 2θ 47.9, 1.899 Å, intensity 18, (2 0 0)
- 2θ 55.0, 1.670 Å, intensity 17, (1 7 1)
- 2θ 61.0, 1.520 Å, intensity 19, (2 5 1)
- 2θ 64.4, 1.447 Å, intensity 16, (2 6 0)
- 2θ 65.5, 1.425 Å, intensity 24, (1 8 2)